# Ac3Tb2Y4
Theoretical powder diffractogram, Cu Kα X-rays. Input: a structure optimized by DFT (GGA-PBE).
Kinematic intensities with the Lorentz-polarization factor, no thermal factor.

Top 10 peaks for 10° ≤ 2θ ≤ 90°, by angle:
2θ = 18.93°, rel. 17; 2θ = 29.40°, rel. 100; 2θ = 29.63°, rel. 97; 2θ = 33.95°, rel. 34; 2θ = 33.97°, rel. 35; 2θ = 34.72°, rel. 32; 2θ = 49.36°, rel. 48; 2θ = 57.85°, rel. 15; 2θ = 58.26°, rel. 29; 2θ = 81.99°, rel. 16

Structure:
Unit cell a=6.3878 b=6.4178 c=9.1157 alpha=89.30 beta=88.53 gamma=60.16
Sites, in units of the cell vectors:
Ac  0.0000  0.0000  0.0000
Ac  0.3336  0.9992  0.3336
Ac  0.6664  0.0008  0.6664
Tb  0.3376  0.6580  0.6662
Tb  0.6624  0.3420  0.3338
Y  0.0050  0.6573  0.3334
Y  0.3288  0.3428  0.9997
Y  0.6712  0.6572  0.0003
Y  0.9950  0.3427  0.6666

# Ac3TbY6
Theoretical powder diffractogram, Cu Kα X-rays. Input: a structure optimized by DFT (GGA-PBE).
Kinematic intensities with the Lorentz-polarization factor, no thermal factor.

Top 10 peaks for 10° ≤ 2θ ≤ 90°, by angle:
2θ = 17.55°, rel. 59; 2θ = 27.54°, rel. 35; 2θ = 30.02°, rel. 37; 2θ = 30.65°, rel. 100; 2θ = 34.99°, rel. 26; 2θ = 39.40°, rel. 37; 2θ = 47.19°, rel. 21; 2θ = 54.09°, rel. 16; 2θ = 54.48°, rel. 20; 2θ = 63.81°, rel. 12

Structure:
Unit cell a=7.2009 b=7.2009 c=7.2009 alpha=89.12 beta=89.12 gamma=89.12
Sites, in units of the cell vectors:
Ac  0.0000  0.0000  0.0000
Ac  0.2576  0.2576  0.2576
Ac  0.7424  0.7424  0.7424
Tb  0.5000  0.5000  0.5000
Y  0.0993  0.4219  0.7489
Y  0.2511  0.9007  0.5781
Y  0.4219  0.7489  0.0993
Y  0.5781  0.2511  0.9007
Y  0.7489  0.0993  0.4219
Y  0.9007  0.5781  0.2511

# Ac2Tb4Y5
Theoretical powder diffractogram, Cu Kα X-rays. Input: a structure optimized by DFT (GGA-PBE).
Kinematic intensities with the Lorentz-polarization factor, no thermal factor.

Top 10 peaks for 10° ≤ 2θ ≤ 90°, by angle:
2θ = 25.53°, rel. 36; 2θ = 29.00°, rel. 35; 2θ = 29.80°, rel. 29; 2θ = 29.98°, rel. 81; 2θ = 30.39°, rel. 73; 2θ = 31.35°, rel. 100; 2θ = 32.43°, rel. 25; 2θ = 32.91°, rel. 26; 2θ = 38.48°, rel. 29; 2θ = 61.89°, rel. 22

Structure:
Unit cell a=12.3900 b=12.3900 c=8.9099 alpha=95.89 beta=95.89 gamma=16.36
Sites, in units of the cell vectors:
Ac  0.0904  0.0904  0.2431
Ac  0.9096  0.9096  0.7569
Tb  0.0487  0.0487  0.8579
Tb  0.3201  0.3201  0.0263
Tb  0.6799  0.6799  0.9737
Tb  0.9513  0.9513  0.1421
Y  0.1433  0.1433  0.6284
Y  0.2342  0.2342  0.3268
Y  0.5000  0.5000  0.5000
Y  0.7658  0.7658  0.6732
Y  0.8567  0.8567  0.3716

What did the third record say?
# Ac2Tb4Y5
Theoretical powder diffractogram, Cu Kα X-rays. Input: a structure optimized by DFT (GGA-PBE).
Kinematic intensities with the Lorentz-polarization factor, no thermal factor.

Top 10 peaks for 10° ≤ 2θ ≤ 90°, by angle:
2θ = 25.53°, rel. 36; 2θ = 29.00°, rel. 35; 2θ = 29.80°, rel. 29; 2θ = 29.98°, rel. 81; 2θ = 30.39°, rel. 73; 2θ = 31.35°, rel. 100; 2θ = 32.43°, rel. 25; 2θ = 32.91°, rel. 26; 2θ = 38.48°, rel. 29; 2θ = 61.89°, rel. 22

Structure:
Unit cell a=12.3900 b=12.3900 c=8.9099 alpha=95.89 beta=95.89 gamma=16.36
Sites, in units of the cell vectors:
Ac  0.0904  0.0904  0.2431
Ac  0.9096  0.9096  0.7569
Tb  0.0487  0.0487  0.8579
Tb  0.3201  0.3201  0.0263
Tb  0.6799  0.6799  0.9737
Tb  0.9513  0.9513  0.1421
Y  0.1433  0.1433  0.6284
Y  0.2342  0.2342  0.3268
Y  0.5000  0.5000  0.5000
Y  0.7658  0.7658  0.6732
Y  0.8567  0.8567  0.3716